# 1
Starting from DFT lattice parameters and positions (GGA-PBE), the powder diffraction line list of Ag2HgO was calculated for CuKα.
Neutral-atom scattering factors, no anomalous dispersion.

Cell and atoms:
```
Ag2HgO
1.0
5.651 0.000 0.000
0.000 5.007 0.000
0.000 0.000 9.800
Ag Hg O
8 4 4
Direct
0.089 0.218 0.082
0.089 0.282 0.418
0.411 0.718 0.418
0.411 0.782 0.082
0.589 0.218 0.918
0.589 0.282 0.582
0.911 0.718 0.582
0.911 0.782 0.918
0.002 0.250 0.750
0.498 0.750 0.750
0.502 0.250 0.250
0.998 0.750 0.250
0.250 0.000 0.599
0.250 0.500 0.901
0.750 0.000 0.401
0.750 0.500 0.099
```

Main lines, by angle (2θ = 10–90°):
d/Å  2theta  I/Imax
4.898  18.1  8
3.500  25.4  16
2.826  31.7  22
2.503  35.9  23
2.462  36.5  100
1.874  48.6  16
1.736  52.7  13
1.633  56.3  13
1.437  64.9  15
1.368  68.6  11

=====

# 2
Starting from DFT lattice parameters and positions (GGA-PBE), the powder diffraction line list of AgHgO2 was calculated for CuKα.
Neutral-atom scattering factors, no anomalous dispersion.

Cell and atoms:
```
AgHgO2
1.0
6.212 0.000 0.000
0.000 6.557 0.000
0.000 0.000 3.403
Ag Hg O
2 2 4
Direct
0.000 0.000 0.000
0.500 0.500 0.500
0.000 0.500 0.000
0.500 0.000 0.500
0.189 0.100 0.500
0.311 0.600 0.000
0.689 0.400 0.000
0.811 0.900 0.500
```

Main lines, by angle (2θ = 10–90°):
d/Å  2theta  I/Imax
4.510  19.7  16
3.278  27.2  74
3.106  28.7  51
2.984  29.9  100
2.255  40.0  48
2.207  40.9  92
1.769  51.7  28
1.557  59.4  33
1.437  64.9  25
1.358  69.2  19

=====

# 3
Starting from DFT lattice parameters and positions (GGA-PBE), the powder diffraction line list of AgHgP2O6 was calculated for CuKα.
Neutral-atom scattering factors, no anomalous dispersion.

Cell and atoms:
```
AgHgP2O6
1.0
5.957 -5.218 0.000
5.957 5.218 0.000
-1.018 0.000 4.695
Ag Hg P O
2 2 4 12
Direct
0.242 0.758 0.750
0.758 0.242 0.250
0.075 0.925 0.250
0.925 0.075 0.750
0.220 0.392 0.250
0.392 0.220 0.750
0.608 0.780 0.250
0.780 0.608 0.750
0.076 0.280 0.196
0.182 0.581 0.346
0.280 0.076 0.696
0.314 0.379 0.970
0.379 0.314 0.470
0.419 0.818 0.154
0.581 0.182 0.846
0.621 0.686 0.530
0.686 0.621 0.030
0.720 0.924 0.304
0.818 0.419 0.654
0.924 0.720 0.804
```

Main lines, by angle (2θ = 10–90°):
d/Å  2theta  I/Imax
7.771  11.4  100
5.821  15.2  66
3.638  24.5  52
3.226  27.7  30
2.801  32.0  68
2.643  33.9  28
2.417  37.2  28
2.348  38.3  20
2.144  42.2  17
2.053  44.1  31

=====

# 4
Starting from DFT lattice parameters and positions (GGA-PBE), the powder diffraction line list of AgHg2PO4 was calculated for CuKα.
Neutral-atom scattering factors, no anomalous dispersion.

Cell and atoms:
```
AgHg2PO4
1.0
8.870 0.000 0.000
0.000 9.510 0.000
0.000 0.000 6.274
Ag Hg P O
4 8 4 16
Direct
0.032 0.146 0.000
0.468 0.646 0.000
0.532 0.354 0.000
0.968 0.854 0.000
0.249 0.965 0.214
0.249 0.965 0.786
0.251 0.465 0.214
0.251 0.465 0.786
0.749 0.535 0.214
0.749 0.535 0.786
0.751 0.035 0.214
0.751 0.035 0.786
0.043 0.714 0.500
0.457 0.214 0.500
0.543 0.786 0.500
0.957 0.286 0.500
0.050 0.299 0.291
0.050 0.299 0.709
0.121 0.862 0.500
0.166 0.594 0.500
0.334 0.094 0.500
0.379 0.362 0.500
0.450 0.799 0.291
0.450 0.799 0.709
0.550 0.201 0.291
0.550 0.201 0.709
0.621 0.638 0.500
0.666 0.906 0.500
0.834 0.406 0.500
0.879 0.138 0.500
0.950 0.701 0.291
0.950 0.701 0.709
```

Main lines, by angle (2θ = 10–90°):
d/Å  2theta  I/Imax
4.755  18.7  48
4.435  20.0  32
3.243  27.5  100
2.619  34.2  37
2.561  35.0  58
2.511  35.8  30
2.255  40.0  33
2.218  40.7  21
1.893  48.1  28
1.853  49.2  25

=====

# 5
Starting from DFT lattice parameters and positions (GGA-PBE), the powder diffraction line list of Ag5HgSbO6 was calculated for CuKα.
Neutral-atom scattering factors, no anomalous dispersion.

Cell and atoms:
```
Ag5HgSbO6
1.0
6.029 0.000 0.000
-3.015 5.222 0.000
0.000 0.000 12.529
Ag Hg Sb O
10 2 2 12
Direct
0.000 0.000 0.119
0.000 0.000 0.381
0.000 0.000 0.619
0.000 0.000 0.881
0.000 0.500 0.000
0.000 0.500 0.500
0.500 0.000 0.000
0.500 0.000 0.500
0.500 0.500 0.000
0.500 0.500 0.500
0.333 0.667 0.250
0.667 0.333 0.750
0.333 0.667 0.750
0.667 0.333 0.250
0.046 0.395 0.842
0.046 0.651 0.658
0.349 0.395 0.658
0.349 0.954 0.842
0.395 0.046 0.342
0.395 0.349 0.158
0.605 0.651 0.842
0.605 0.954 0.658
0.651 0.046 0.158
0.651 0.605 0.342
0.954 0.349 0.342
0.954 0.605 0.158
```

Main lines, by angle (2θ = 10–90°):
d/Å  2theta  I/Imax
3.015  29.6  43
2.716  33.0  71
2.686  33.4  100
2.611  34.3  36
2.410  37.3  80
1.717  53.4  30
1.677  54.7  20
1.670  55.0  49
1.507  61.5  25
1.314  71.8  20

=====

# 6
Starting from DFT lattice parameters and positions (GGA-PBE), the powder diffraction line list of Ag2Hg2Te3O12 was calculated for CuKα.
Neutral-atom scattering factors, no anomalous dispersion.

Cell and atoms:
```
Ag2Hg2Te3O12
1.0
6.585 0.000 0.000
0.000 6.301 0.000
-5.872 0.000 13.450
Ag Hg Te O
4 4 6 24
Direct
0.101 0.143 0.292
0.101 0.357 0.792
0.899 0.643 0.208
0.899 0.857 0.708
0.299 0.543 0.102
0.299 0.957 0.602
0.701 0.043 0.398
0.701 0.457 0.898
0.000 0.000 0.000
0.000 0.500 0.500
0.406 0.597 0.395
0.406 0.903 0.895
0.594 0.097 0.105
0.594 0.403 0.605
0.004 0.719 0.058
0.004 0.781 0.558
0.115 0.633 0.406
0.115 0.867 0.906
0.258 0.030 0.769
0.258 0.470 0.269
0.294 0.065 0.108
0.294 0.435 0.608
0.393 0.613 0.852
0.393 0.887 0.352
0.450 0.186 0.962
0.450 0.314 0.462
0.550 0.686 0.538
0.550 0.814 0.038
0.607 0.113 0.648
0.607 0.387 0.148
0.706 0.565 0.392
0.706 0.935 0.892
0.742 0.530 0.731
0.742 0.970 0.231
0.885 0.133 0.094
0.885 0.367 0.594
0.996 0.219 0.442
0.996 0.281 0.942
```

Main lines, by angle (2θ = 10–90°):
d/Å  2theta  I/Imax
3.834  23.2  28
3.653  24.4  26
3.616  24.6  96
3.150  28.3  29
3.067  29.1  48
2.877  31.1  100
2.767  32.4  27
2.753  32.5  70
1.982  45.8  41
1.656  55.5  29

=====

# 7
Starting from DFT lattice parameters and positions (GGA-PBE), the powder diffraction line list of UAgHg2O6 was calculated for CuKα.
Neutral-atom scattering factors, no anomalous dispersion.

Cell and atoms:
```
UAgHg2O6
1.0
5.225 0.000 0.000
0.367 5.787 0.000
2.436 2.505 5.607
U Ag Hg O
1 1 2 6
Direct
0.000 0.000 0.000
0.500 0.500 0.000
0.231 0.778 0.535
0.769 0.222 0.465
0.064 0.765 0.307
0.265 0.265 0.936
0.353 0.828 0.779
0.647 0.172 0.221
0.735 0.735 0.064
0.936 0.235 0.693
```

Main lines, by angle (2θ = 10–90°):
d/Å  2theta  I/Imax
3.401  26.2  61
3.121  28.6  100
3.114  28.7  35
2.887  31.0  29
2.804  31.9  30
2.603  34.5  23
2.085  43.4  17
1.993  45.5  18
1.967  46.1  13
1.674  54.8  13

=====

# 8
Starting from DFT lattice parameters and positions (GGA-PBE), the powder diffraction line list of UAg2Hg2O6 was calculated for CuKα.
Neutral-atom scattering factors, no anomalous dispersion.

Cell and atoms:
```
UAg2Hg2O6
1.0
3.541 -4.664 0.000
3.541 4.664 0.000
-3.355 0.000 5.413
U Ag Hg O
1 2 2 6
Direct
0.000 0.000 0.000
0.355 0.645 0.000
0.645 0.355 0.000
0.194 0.806 0.500
0.806 0.194 0.500
0.064 0.373 0.236
0.167 0.167 0.784
0.373 0.064 0.236
0.627 0.936 0.764
0.833 0.833 0.216
0.936 0.627 0.764
```

Main lines, by angle (2θ = 10–90°):
d/Å  2theta  I/Imax
5.058  17.5  55
3.533  25.2  87
3.009  29.7  85
2.917  30.7  100
2.819  31.7  40
2.744  32.6  95
2.706  33.1  55
2.250  40.1  88
1.861  49.0  44
1.712  53.5  36